The following is a theoretical PXRD pattern of Mn3Zn2N. It was derived from a GGA-PBE-relaxed structure, using a wavelength of 1.5418 Å.

The 12 most intense peaks (10° ≤ 2θ ≤ 90°), by intensity:
- d 2.145, I 100.0, hkl 2 2 1
- d 2.035, I 53.0, hkl 3 1 0
- d 1.940, I 24.9, hkl 3 1 1
- d 1.262, I 24.5, hkl 4 3 1
- d 1.195, I 21.7, hkl 5 2 0
- d 1.720, I 14.6, hkl 3 2 1
- d 1.239, I 5.5, hkl 5 1 1
- d 1.439, I 4.7, hkl 4 2 0
- d 1.517, I 4.5, hkl 4 1 1
- d 4.551, I 3.3, hkl 1 1 0
- d 1.561, I 3.3, hkl 4 1 0
- d 1.175, I 3.3, hkl 5 2 1

Structural model:
abc: 6.4359 6.4359 6.4359
angles: 90.00 90.00 90.00
Fractional positions:
Mn: 0.0442 0.1250 0.7942
Mn: 0.1250 0.7942 0.0442
Mn: 0.2058 0.5442 0.3750
Mn: 0.2942 0.4558 0.8750
Mn: 0.3750 0.2058 0.5442
Mn: 0.4558 0.8750 0.2942
Mn: 0.5442 0.3750 0.2058
Mn: 0.6250 0.7058 0.9558
Mn: 0.7058 0.9558 0.6250
Mn: 0.7942 0.0442 0.1250
Mn: 0.8750 0.2942 0.4558
Mn: 0.9558 0.6250 0.7058
Zn: 0.0674 0.9326 0.4326
Zn: 0.1826 0.1826 0.1826
Zn: 0.3174 0.8174 0.6826
Zn: 0.4326 0.0674 0.9326
Zn: 0.5674 0.5674 0.5674
Zn: 0.6826 0.3174 0.8174
Zn: 0.8174 0.6826 0.3174
Zn: 0.9326 0.4326 0.0674
N: 0.1250 0.3750 0.6250
N: 0.3750 0.6250 0.1250
N: 0.6250 0.1250 0.3750
N: 0.8750 0.8750 0.8750